Simulated powder diffraction line list of Sm3Si2ClO8 for CuKα, from a DFT-relaxed cell (PBE, OQMD).
Intensities are scaled so that the largest is 100.

Cell and atoms:
a b c (Å): 7.016 17.966 6.261
angles (deg): 90.00 90.00 90.00
Space group Pnma (No. 62)
Symmetry-distinct sites (fractional):
Sm: 0.024 0.092 0.126 x8
Sm: 0.194 0.750 0.385 x4
Si: 0.033 0.100 0.622 x8
Cl: 0.056 0.250 0.242 x4
O: 0.017 0.030 0.786 x8
O: 0.044 0.175 0.779 x8
O: 0.155 0.619 0.530 x8
O: 0.205 0.095 0.450 x8

Most intense lines, 2θ = 5–70°, in order of rising 2θ:
2θ 19.6, d = 4.521 Å, intensity 60; 2θ 20.5, d = 4.328 Å, intensity 100; 2θ 25.4, d = 3.508 Å, intensity 43; 2θ 27.3, d = 3.268 Å, intensity 45; 2θ 29.8, d = 2.994 Å, intensity 95; 2θ 31.7, d = 2.823 Å, intensity 65; 2θ 32.4, d = 2.765 Å, intensity 43; 2θ 34.8, d = 2.580 Å, intensity 73; 2θ 47.6, d = 1.910 Å, intensity 49; 2θ 51.1, d = 1.788 Å, intensity 67

Simulated powder diffraction line list of Al2Co11 for CuKα, from a DFT-relaxed cell (PBE, OQMD).
Intensities are scaled so that the largest is 100.

Cell and atoms:
a b c (Å): 4.6001 4.6001 24.3693
angles (deg): 90.00 90.00 120.00
Space group R-3m (No. 166, hexagonal axes)
Symmetry-distinct sites (fractional):
Al: 0.0000 0.0000 0.1487 x6
Co: 0.0000 0.0000 0.0456 x6
Co: 0.0000 0.0000 0.3363 x6
Co: 0.0000 0.0000 0.5000 x3
Co: 0.0046 0.5023 0.9136 x18

Most intense lines, 2θ = 5–70°, in order of rising 2θ:
2θ 21.9, d = 4.062 Å, intensity 28; 2θ 39.2, d = 2.300 Å, intensity 41; 2θ 43.5, d = 2.079 Å, intensity 40; 2θ 44.6, d = 2.031 Å, intensity 30; 2θ 45.3, d = 2.001 Å, intensity 100; 2θ 45.7, d = 1.985 Å, intensity 52; 2θ 46.2, d = 1.966 Å, intensity 30; 2θ 46.9, d = 1.936 Å, intensity 58; 2θ 49.4, d = 1.844 Å, intensity 66; 2θ 53.0, d = 1.729 Å, intensity 51

Simulated powder diffraction line list of Tm5SbC2 for CuKα, from a DFT-relaxed cell (PBE, OQMD).
Intensities are scaled so that the largest is 100.

Cell and atoms:
a b c (Å): 3.5533 3.5533 16.4027
angles (deg): 90.00 90.00 120.00
Space group P-6m2 (No. 187)
Symmetry-distinct sites (fractional):
Tm: 0.0000 0.0000 0.0000 x1
Tm: 0.0000 0.0000 0.3482 x2
Tm: 0.3333 0.6667 0.1883 x2
Sb: 0.3333 0.6667 0.5000 x1
C: 0.6667 0.3333 0.2694 x2

Most intense lines, 2θ = 5–70°, in order of rising 2θ:
2θ 29.0, d = 3.077 Å, intensity 24; 2θ 32.8, d = 2.734 Å, intensity 17; 2θ 33.4, d = 2.682 Å, intensity 100; 2θ 44.3, d = 2.044 Å, intensity 13; 2θ 51.4, d = 1.777 Å, intensity 22; 2θ 53.7, d = 1.706 Å, intensity 7; 2θ 58.9, d = 1.568 Å, intensity 9; 2θ 62.3, d = 1.490 Å, intensity 18; 2θ 62.7, d = 1.481 Å, intensity 16; 2θ 64.4, d = 1.447 Å, intensity 5